1.
Computed powder X-ray diffraction pattern of TbFe11Re for copper Kα, from a crystal structure in the Materials Project, relaxed with PBE.

a b c (Å): 4.678 8.487 8.567
angles (deg): 90.00 90.00 90.00
Space group Imm2 (No. 44)
Asymmetric unit:
1 Tb 0.000 0.000 0.000 [2 per cell]
2 Fe 0.000 0.000 0.645 [2 per cell]
3 Fe 0.000 0.276 0.507 [4 per cell]
4 Fe 0.000 0.359 0.007 [4 per cell]
5 Fe 0.000 0.500 0.277 [2 per cell]
6 Fe 0.000 0.500 0.735 [2 per cell]
7 Fe 0.250 0.249 0.755 [8 per cell]
8 Re 0.000 0.000 0.368 [2 per cell]

Most intense lines, 2θ = 15–90°, by intensity:
d_spacing, I/Imax, (hkl)
2.113, 100, 1 2 3
2.048, 69, 2 2 0
2.107, 66, 1 3 2
2.421, 58, 1 3 0
2.122, 55, 0 4 0
2.437, 52, 1 0 3
4.098, 48, 1 1 0
2.053, 44, 2 0 2
1.848, 38, 2 2 2
2.961, 38, 1 1 2
2.339, 36, 2 0 0
1.302, 33, 3 2 3

=====

2.
Computed powder X-ray diffraction pattern of SmEr3Se6 for copper Kα, from a crystal structure in the Materials Project, relaxed with PBE.

a b c (Å): 11.542 4.101 11.825
angles (deg): 90.00 109.17 90.00
Space group P2_1/m (No. 11)
Asymmetric unit:
1 Sm 0.046 0.250 0.195 [2 per cell]
2 Er 0.159 0.250 0.585 [2 per cell]
3 Er 0.318 0.750 0.999 [2 per cell]
4 Er 0.437 0.250 0.333 [2 per cell]
5 Se 0.083 0.750 0.404 [2 per cell]
6 Se 0.115 0.250 0.966 [2 per cell]
7 Se 0.195 0.750 0.750 [2 per cell]
8 Se 0.259 0.750 0.225 [2 per cell]
9 Se 0.394 0.250 0.560 [2 per cell]
10 Se 0.480 0.250 0.114 [2 per cell]

Most intense lines, 2θ = 15–90°, by intensity:
d_spacing, I/Imax, (hkl)
2.989, 100, 2 1 1
2.228, 77, 4 1 -3
3.848, 76, 3 0 -1
2.720, 76, 3 1 0
2.050, 68, 0 2 0
3.507, 57, 1 1 1
3.941, 49, 1 0 -3
2.902, 47, 2 0 -4
2.143, 47, 1 1 4
2.019, 37, 5 0 1
2.756, 36, 0 1 3
2.843, 31, 4 0 -2

=====

3.
Computed powder X-ray diffraction pattern of Na2Eu2B2O7 for copper Kα, from a crystal structure in the Materials Project, relaxed with PBE.

a b c (Å): 10.910 6.464 10.532
angles (deg): 90.00 117.63 90.00
Space group P2_1/c (No. 14)
Asymmetric unit:
1 Na 0.023 0.057 0.262 [4 per cell]
2 Na 0.110 0.737 0.047 [4 per cell]
3 Eu 0.314 0.083 0.910 [4 per cell]
4 Eu 0.483 0.542 0.182 [4 per cell]
5 B 0.183 0.249 0.581 [4 per cell]
6 B 0.291 0.653 0.850 [4 per cell]
7 O 0.103 0.164 0.947 [4 per cell]
8 O 0.127 0.151 0.658 [4 per cell]
9 O 0.183 0.742 0.864 [4 per cell]
10 O 0.327 0.238 0.134 [4 per cell]
11 O 0.347 0.743 0.272 [4 per cell]
12 O 0.348 0.037 0.411 [4 per cell]
13 O 0.474 0.622 0.596 [4 per cell]

Most intense lines, 2θ = 15–90°, by intensity:
d_spacing, I/Imax, (hkl)
3.059, 100, 1 1 -3
2.777, 65, 2 0 2
3.037, 47, 2 1 -3
2.722, 47, 4 0 -2
3.181, 45, 2 1 1
3.523, 38, 3 0 -2
3.147, 34, 3 1 -1
3.599, 34, 1 0 2
1.934, 26, 5 0 0
3.048, 25, 1 2 -1
2.104, 25, 2 2 2
1.956, 24, 0 3 2

=====

4.
Computed powder X-ray diffraction pattern of Ba2InBiO6 for copper Kα, from a crystal structure in the Materials Project, relaxed with PBE.

a b c (Å): 8.602 8.602 8.602
angles (deg): 90.00 90.00 90.00
Space group Fm-3m (No. 225)
Asymmetric unit:
1 Ba 0.250 0.250 0.250 [8 per cell]
2 In 0.000 0.000 0.000 [4 per cell]
3 Bi 0.000 0.000 0.500 [4 per cell]
4 O 0.000 0.000 0.252 [24 per cell]

Most intense lines, 2θ = 15–90°, by intensity:
d_spacing, I/Imax, (hkl)
3.041, 100, 2 2 0
1.756, 41, 4 2 2
2.150, 29, 4 0 0
1.149, 22, 6 4 2
1.521, 18, 4 4 0
1.360, 18, 6 2 0
1.242, 6, 4 4 4
4.966, 5, 1 1 1
4.301, 3, 2 0 0
2.594, 3, 3 1 1
1.973, 2, 3 3 1
1.923, 2, 4 2 0

=====

5.
Computed powder X-ray diffraction pattern of YWN3 for copper Kα, from a crystal structure in the Materials Project, relaxed with PBE.

a b c (Å): 3.464 13.252 6.071
angles (deg): 90.00 90.00 90.00
Space group Cmcm (No. 63)
Asymmetric unit:
1 Y 0.000 0.185 0.250 [4 per cell]
2 W 0.000 0.429 0.250 [4 per cell]
3 N 0.000 0.003 0.750 [4 per cell]
4 N 0.000 0.340 0.018 [8 per cell]

Most intense lines, 2θ = 15–90°, by intensity:
d_spacing, I/Imax, (hkl)
2.908, 100, 0 4 1
2.934, 77, 1 1 1
1.731, 55, 2 0 0
3.035, 53, 0 0 2
2.487, 38, 1 3 1
3.351, 33, 1 1 0
1.488, 26, 2 4 1
4.476, 24, 0 2 1
1.727, 23, 0 4 3
2.105, 21, 1 5 0
2.028, 19, 1 3 2
1.458, 16, 1 7 2

=====

6.
Computed powder X-ray diffraction pattern of PrEr3 for copper Kα, from a crystal structure in the Materials Project, relaxed with PBE.

a b c (Å): 5.056 5.056 10.045
angles (deg): 90.00 90.00 90.00
Space group I4/mmm (No. 139)
Asymmetric unit:
1 Pr 0.000 0.000 0.000 [2 per cell]
2 Er 0.000 0.000 0.500 [2 per cell]
3 Er 0.000 0.500 0.250 [4 per cell]

Most intense lines, 2θ = 15–90°, by intensity:
d_spacing, I/Imax, (hkl)
2.913, 100, 1 1 2
2.528, 34, 2 0 0
1.524, 29, 3 1 2
1.782, 24, 2 0 4
2.511, 17, 0 0 4
1.516, 14, 1 1 6
1.456, 12, 2 2 4
1.788, 12, 2 2 0
1.156, 12, 3 1 6
1.160, 6, 3 3 2
1.131, 6, 4 2 0
1.129, 6, 4 0 4

=====

7.
Computed powder X-ray diffraction pattern of TbTi2Ga4 for copper Kα, from a crystal structure in the Materials Project, relaxed with PBE.

a b c (Å): 6.785 6.785 5.447
angles (deg): 90.00 90.00 90.00
Space group I4/mmm (No. 139)
Asymmetric unit:
1 Tb 0.000 0.000 0.000 [2 per cell]
2 Ti 0.000 0.500 0.250 [4 per cell]
3 Ga 0.197 0.197 0.500 [8 per cell]

Most intense lines, 2θ = 15–90°, by intensity:
d_spacing, I/Imax, (hkl)
2.651, 100, 2 1 1
2.089, 75, 3 0 1
2.399, 66, 2 2 0
2.369, 54, 1 1 2
2.724, 32, 0 0 2
1.228, 24, 5 2 1
1.379, 24, 3 3 2
1.416, 21, 3 0 3
1.558, 20, 2 1 3
1.800, 18, 2 2 2
1.196, 17, 5 1 2
4.798, 16, 1 1 0

=====

8.
Computed powder X-ray diffraction pattern of PrAl2Ge2 for copper Kα, from a crystal structure in the Materials Project, relaxed with PBE.

a b c (Å): 4.3307 4.3307 6.9152
angles (deg): 90.00 90.00 120.00
Space group P-3m1 (No. 164)
Asymmetric unit:
1 Pr 0.0000 0.0000 0.0000 [1 per cell]
2 Al 0.3333 0.6667 0.6399 [2 per cell]
3 Ge 0.3333 0.6667 0.2692 [2 per cell]

Most intense lines, 2θ = 15–90°, by intensity:
d_spacing, I/Imax, (hkl)
3.297, 100, 0 1 1
2.542, 65, 0 1 2
2.165, 50, 1 1 0
1.964, 18, 1 0 3
1.578, 18, 1 1 3
1.810, 18, 2 0 1
1.648, 17, 2 0 2
1.312, 16, 1 2 2
1.389, 15, 1 2 1
2.305, 10, 0 0 3
1.351, 9, 1 1 4
1.298, 9, 0 1 5

=====

9.
Computed powder X-ray diffraction pattern of CsAlSiO4 for copper Kα, from a crystal structure in the Materials Project, relaxed with PBE.

a b c (Å): 9.012 5.502 9.595
angles (deg): 90.00 90.00 90.00
Space group Pnma (No. 62)
Asymmetric unit:
1 Cs 0.000 0.250 0.199 [4 per cell]
2 Al 0.183 0.250 0.584 [4 per cell]
3 Si 0.190 0.750 0.416 [4 per cell]
4 O 0.010 0.750 0.412 [4 per cell]
5 O 0.247 0.008 0.997 [8 per cell]
6 O 0.247 0.250 0.756 [4 per cell]

Most intense lines, 2θ = 15–90°, by intensity:
d_spacing, I/Imax, (hkl)
3.279, 100, 2 1 1
3.356, 42, 1 1 2
4.778, 21, 0 1 1
2.751, 17, 0 2 0
2.765, 17, 0 1 3
3.014, 14, 1 0 3
1.774, 13, 3 1 4
2.038, 11, 4 1 1
2.253, 10, 4 0 0
1.673, 10, 2 3 1
2.348, 9, 2 2 0
2.387, 9, 0 2 2

=====

10.
Computed powder X-ray diffraction pattern of CaTiP4O12 for copper Kα, from a crystal structure in the Materials Project, relaxed with PBE.

a b c (Å): 12.461 8.779 10.427
angles (deg): 90.00 119.33 90.00
Space group C2/c (No. 15)
Asymmetric unit:
1 Ca 0.000 0.047 0.250 [4 per cell]
2 Ti 0.250 0.250 0.500 [4 per cell]
3 P 0.006 0.274 0.977 [8 per cell]
4 P 0.189 0.491 0.196 [8 per cell]
5 O 0.030 0.137 0.913 [8 per cell]
6 O 0.055 0.252 0.428 [8 per cell]
7 O 0.074 0.397 0.654 [8 per cell]
8 O 0.134 0.362 0.069 [8 per cell]
9 O 0.215 0.075 0.327 [8 per cell]
10 O 0.227 0.423 0.342 [8 per cell]

Most intense lines, 2θ = 15–90°, by intensity:
d_spacing, I/Imax, (hkl)
3.158, 100, 0 2 2
4.472, 33, 1 1 -2
3.347, 30, 3 1 0
3.578, 29, 3 1 -2
4.844, 22, 2 0 -2
2.716, 21, 4 0 0
3.738, 20, 3 1 -1
2.212, 18, 1 3 -3
3.031, 18, 3 1 -3
2.528, 16, 4 2 -2
3.414, 16, 2 2 0
4.796, 14, 1 1 1

=====

11.
Computed powder X-ray diffraction pattern of AgPXe2F10 for copper Kα, from a crystal structure in the Materials Project, relaxed with PBE.

a b c (Å): 8.677 8.677 12.794
angles (deg): 90.00 90.00 90.00
Space group I4/mcm (No. 140)
Asymmetric unit:
1 Ag 0.000 0.500 0.000 [4 per cell]
2 P 0.000 0.000 0.000 [4 per cell]
3 Xe 0.250 0.250 0.250 [8 per cell]
4 F 0.000 0.000 0.128 [8 per cell]
5 F 0.078 0.173 0.000 [16 per cell]
6 F 0.115 0.385 0.352 [16 per cell]

Most intense lines, 2θ = 15–90°, by intensity:
d_spacing, I/Imax, (hkl)
3.591, 100, 2 0 2
3.068, 37, 2 2 0
1.857, 31, 4 2 2
2.214, 19, 2 2 4
1.914, 18, 2 0 6
3.199, 16, 0 0 4
1.795, 13, 4 0 4
1.435, 13, 4 2 6
2.083, 9, 3 1 4
2.169, 9, 4 0 0
1.261, 9, 6 2 4
2.522, 8, 3 1 2